# NaZrTe4Au3
Theoretical XRD peak list, Cu Ka. Input: DFT lattice parameters and positions (GGA-PBE).
Lines closer than 0.1° are merged.

Crystal structure
Lattice parameters (Å, degrees): 6.5947 6.5947 6.5947 90.00 90.00 90.00
Sites, in units of the cell vectors:
Na 0.0000 0.0000 0.0000
Zr 0.5000 0.5000 0.5000
Te 0.2586 0.2586 0.2586
Te 0.2586 0.7414 0.7414
Te 0.7414 0.2586 0.7414
Te 0.7414 0.7414 0.2586
Au 0.0000 0.5000 0.5000
Au 0.5000 0.0000 0.5000
Au 0.5000 0.5000 0.0000

Main lines, most intense first (2θ = 10–80°):
(hkl), d_spacing, 2theta, intensity
2 2 0, 2.332, 38.62, 100
1 1 1, 3.807, 23.36, 87
3 1 1, 1.988, 45.62, 45
1 0 0, 6.595, 13.43, 38
4 2 2, 1.346, 69.88, 34
3 3 1, 1.513, 61.27, 18
4 0 0, 1.649, 55.76, 17
2 1 0, 2.949, 30.31, 15